Computed XRD peak list of SrH2I2O7 for Cu Ka, from DFT lattice parameters and positions (PBE).
Kinematic intensities with the Lorentz-polarization factor, no thermal factor.

Structure:
Cell: 7.663 7.663 8.991 Å, 124.22 124.22 61.96°
Atoms (fractional coordinates):
Sr 0.160 0.840 0.750
Sr 0.840 0.160 0.250
H 0.206 0.739 0.308
H 0.261 0.794 0.192
H 0.739 0.206 0.808
H 0.794 0.261 0.692
I 0.286 0.342 0.827
I 0.342 0.286 0.327
I 0.658 0.714 0.673
I 0.714 0.658 0.173
O 0.078 0.220 0.172
O 0.161 0.839 0.250
O 0.220 0.078 0.672
O 0.236 0.406 0.637
O 0.257 0.586 0.430
O 0.406 0.236 0.137
O 0.414 0.743 0.070
O 0.586 0.257 0.930
O 0.594 0.764 0.863
O 0.743 0.414 0.570
O 0.764 0.594 0.363
O 0.780 0.922 0.328
O 0.839 0.161 0.750
O 0.922 0.780 0.828

Peak list (6 most intense, 10 to 90 degrees two-theta, sorted by position)
2θ (°), I (rel.)
19.76, 57
22.54, 52
24.23, 56
28.92, 72
29.29, 100
30.15, 84

---

Computed XRD peak list of SrHIO for Cu Ka, from DFT lattice parameters and positions (PBE).
Kinematic intensities with the Lorentz-polarization factor, no thermal factor.

Structure:
Cell: 7.800 4.293 10.890 Å, 90.00 90.00 90.00°
Atoms (fractional coordinates):
Sr 0.178 0.250 0.078
Sr 0.322 0.750 0.578
Sr 0.678 0.250 0.422
Sr 0.822 0.750 0.922
H 0.218 0.750 0.902
H 0.282 0.250 0.402
H 0.718 0.750 0.598
H 0.782 0.250 0.098
I 0.023 0.750 0.320
I 0.477 0.250 0.820
I 0.523 0.750 0.180
I 0.977 0.250 0.680
O 0.133 0.750 0.968
O 0.367 0.250 0.468
O 0.633 0.750 0.532
O 0.867 0.250 0.032

Peak list (6 most intense, 10 to 90 degrees two-theta, sorted by position)
2θ (°), I (rel.)
27.09, 60
28.14, 37
28.85, 100
32.08, 80
32.29, 36
53.18, 41

---

Computed XRD peak list of SrHI2O6 for Cu Ka, from DFT lattice parameters and positions (PBE).
Kinematic intensities with the Lorentz-polarization factor, no thermal factor.

Structure:
Cell: 7.624 7.624 8.715 Å, 124.49 124.49 63.61°
Atoms (fractional coordinates):
Sr 0.174 0.826 0.750
Sr 0.826 0.174 0.250
H 0.173 0.827 0.250
H 0.827 0.173 0.750
I 0.283 0.340 0.292
I 0.340 0.283 0.792
I 0.660 0.717 0.208
I 0.717 0.660 0.708
O 0.075 0.203 0.617
O 0.203 0.075 0.117
O 0.227 0.400 0.498
O 0.257 0.580 0.908
O 0.400 0.227 0.998
O 0.420 0.743 0.592
O 0.580 0.257 0.408
O 0.600 0.773 0.002
O 0.743 0.420 0.092
O 0.773 0.600 0.502
O 0.797 0.925 0.883
O 0.925 0.797 0.383

Peak list (6 most intense, 10 to 90 degrees two-theta, sorted by position)
2θ (°), I (rel.)
15.00, 61
20.38, 70
22.12, 63
28.90, 87
29.89, 96
30.26, 100

---

Computed XRD peak list of PH4I for Cu Ka, from DFT lattice parameters and positions (PBE).
Kinematic intensities with the Lorentz-polarization factor, no thermal factor.

Structure:
Cell: 6.420 6.420 4.667 Å, 90.00 90.00 90.00°
Atoms (fractional coordinates):
P 0.250 0.750 0.000
P 0.750 0.250 0.000
H 0.071 0.750 0.177
H 0.250 0.571 0.823
H 0.250 0.929 0.823
H 0.429 0.750 0.177
H 0.571 0.250 0.823
H 0.750 0.071 0.177
H 0.750 0.429 0.177
H 0.929 0.250 0.823
I 0.250 0.250 0.396
I 0.750 0.750 0.604

Peak list (6 most intense, 10 to 90 degrees two-theta, sorted by position)
2θ (°), I (rel.)
19.55, 51
23.57, 45
27.41, 100
27.79, 69
36.75, 32
48.93, 37

---

Computed XRD peak list of HPbI3 for Cu Ka, from DFT lattice parameters and positions (PBE).
Kinematic intensities with the Lorentz-polarization factor, no thermal factor.

Structure:
Cell: 6.244 6.244 6.244 Å, 90.00 90.00 90.00°
Atoms (fractional coordinates):
H 0.000 0.000 0.000
Pb 0.500 0.500 0.500
I 0.000 0.500 0.500
I 0.500 0.000 0.500
I 0.500 0.500 0.000

Peak list (6 most intense, 10 to 90 degrees two-theta, sorted by position)
2θ (°), I (rel.)
14.18, 100
28.59, 61
32.05, 58
40.88, 47
43.48, 32
67.03, 22

---

> What is the formula in the first record?

SrH2I2O7